1.
This entry pairs a crystal structure of MnAg2GeSe4 with its theoretical powder diffractogram. Radiation: Cu Kα (weighted mean of Kα1 and Kα2). Structure: the GGA-PBE geometry in the Materials Project.
Lines closer than 0.1° are merged.

Peak list (12 most intense, 15° ≤ 2θ ≤ 90°, in order of rising 2θ)
(0 2 0), d = 3.654 Å, I 49.2
(2 1 0), d = 3.591 Å, I 100.0
(0 0 2), d = 3.491 Å, I 78.4
(0 2 1), d = 3.238 Å, I 38.3
(2 1 1), d = 3.193 Å, I 74.0
(2 1 2), d = 2.503 Å, I 31.2
(2 3 0), d = 2.097 Å, I 83.2
(4 0 0), d = 2.061 Å, I 41.3
(0 2 3), d = 1.963 Å, I 44.1
(2 1 3), d = 1.953 Å, I 86.5
(2 3 2), d = 1.797 Å, I 55.6
(4 2 3), d = 1.421 Å, I 29.6

Structure:
Lattice parameters (Å, degrees): 8.2446 7.3089 6.9820 90.00 90.00 90.00
Space group Pmn2_1 (No. 31)
Asymmetric unit:
Mn: 0.0000 0.1466 0.0000 x2
Ag: 0.2460 0.6755 0.0097 x4
Ge: 0.0000 0.8349 0.4899 x2
Se: 0.0000 0.1412 0.3629 x2
Se: 0.0000 0.8393 0.8371 x2
Se: 0.2446 0.6748 0.3882 x4


2.
This entry pairs a crystal structure of Na5AgGe2S7 with its theoretical powder diffractogram. Radiation: Cu Kα (weighted mean of Kα1 and Kα2). Structure: the GGA-PBE geometry in the Materials Project.
Lines closer than 0.1° are merged.

Peak list (12 most intense, 15° ≤ 2θ ≤ 90°, in order of rising 2θ)
(1 1 2), d = 4.561 Å, I 100.0
(2 0 -2), d = 4.304 Å, I 59.6
(2 2 1), d = 3.174 Å, I 46.1
(1 1 4), d = 2.985 Å, I 31.5
(3 1 -1), d = 2.948 Å, I 30.7
(3 1 0), d = 2.871 Å, I 47.7
(1 3 -3), d = 2.795 Å, I 77.1
(0 2 5), d = 2.535 Å, I 58.0
(3 3 -5), d = 1.965 Å, I 31.0
(2 0 6), d = 1.946 Å, I 35.3
(0 4 5), d = 1.933 Å, I 28.5
(1 5 2), d = 1.917 Å, I 32.4

Structure:
Lattice parameters (Å, degrees): 9.2318 10.3479 14.9788 90.00 103.89 90.00
Space group C2/c (No. 15)
Asymmetric unit:
Na: 0.0000 0.0000 0.0000 x4
Na: 0.1200 0.3564 0.0812 x8
Na: 0.2396 0.2227 0.3598 x8
Ag: 0.0000 0.0854 0.7500 x4
Ge: 0.1588 0.4219 0.8590 x8
S: 0.0000 0.4577 0.2500 x4
S: 0.0604 0.2382 0.8920 x8
S: 0.1315 0.1136 0.1843 x8
S: 0.1953 0.4344 0.4725 x8


3.
This entry pairs a crystal structure of Nd3Ag4Ge4 with its theoretical powder diffractogram. Radiation: Cu Kα (weighted mean of Kα1 and Kα2). Structure: the GGA-PBE geometry in the Materials Project.
Lines closer than 0.1° are merged.

Peak list (12 most intense, 15° ≤ 2θ ≤ 90°, in order of rising 2θ)
(1 2 1), d = 2.760 Å, I 100.0
(0 1 5), d = 2.742 Å, I 27.6
(1 1 4), d = 2.652 Å, I 95.6
(0 0 6), d = 2.470 Å, I 31.8
(1 2 3), d = 2.442 Å, I 28.2
(2 0 0), d = 2.233 Å, I 46.1
(0 3 3), d = 2.165 Å, I 38.5
(1 2 5), d = 2.039 Å, I 29.8
(2 1 5), d = 1.731 Å, I 13.9
(2 0 6), d = 1.656 Å, I 13.2
(2 3 3), d = 1.554 Å, I 26.2
(1 5 4), d = 1.289 Å, I 20.5

Structure:
Lattice parameters (Å, degrees): 4.4653 7.2258 14.8199 90.00 90.00 90.00
Space group Immm (No. 71)
Asymmetric unit:
Nd: 0.0000 0.0000 0.0000 x2
Nd: 0.0000 0.5000 0.1276 x4
Ag: 0.0000 0.3051 0.3314 x8
Ge: 0.0000 0.0000 0.2166 x4
Ge: 0.0000 0.1816 0.5000 x4


4.
This entry pairs a crystal structure of Ag5GeO4 with its theoretical powder diffractogram. Radiation: Cu Kα (weighted mean of Kα1 and Kα2). Structure: the GGA-PBE geometry in the Materials Project.
Lines closer than 0.1° are merged.

Peak list (12 most intense, 15° ≤ 2θ ≤ 90°, in order of rising 2θ)
(1 1 -1), d = 5.488 Å, I 9.8
(2 0 -2), d = 3.273 Å, I 7.2
(2 0 -4), d = 2.652 Å, I 28.9
(0 2 3), d = 2.639 Å, I 100.0
(2 2 -3), d = 2.621 Å, I 10.7
(0 4 0), d = 2.518 Å, I 32.6
(1 4 -1), d = 2.349 Å, I 5.8
(2 1 1), d = 2.213 Å, I 12.5
(2 4 -2), d = 1.996 Å, I 6.5
(2 0 2), d = 1.909 Å, I 8.1
(2 4 -4), d = 1.826 Å, I 13.1
(4 0 -4), d = 1.637 Å, I 6.1

Structure:
Lattice parameters (Å, degrees): 6.5462 10.0719 11.2600 90.00 124.49 90.00
Space group P2_1/c (No. 14)
Asymmetric unit:
Ag: 0.0758 0.0845 0.4098 x4
Ag: 0.1984 0.6227 0.4243 x4
Ag: 0.3227 0.0924 0.8011 x4
Ag: 0.3473 0.1248 0.0572 x4
Ag: 0.3967 0.6453 0.1214 x4
Ge: 0.2491 0.6135 0.7594 x4
O: 0.0804 0.7099 0.5967 x4
O: 0.1184 0.6397 0.8615 x4
O: 0.2222 0.0610 0.2223 x4
O: 0.4308 0.1568 0.6431 x4


Copy entry 2 word for word.
This entry pairs a crystal structure of Na5AgGe2S7 with its theoretical powder diffractogram. Radiation: Cu Kα (weighted mean of Kα1 and Kα2). Structure: the GGA-PBE geometry in the Materials Project.
Lines closer than 0.1° are merged.

Peak list (12 most intense, 15° ≤ 2θ ≤ 90°, in order of rising 2θ)
(1 1 2), d = 4.561 Å, I 100.0
(2 0 -2), d = 4.304 Å, I 59.6
(2 2 1), d = 3.174 Å, I 46.1
(1 1 4), d = 2.985 Å, I 31.5
(3 1 -1), d = 2.948 Å, I 30.7
(3 1 0), d = 2.871 Å, I 47.7
(1 3 -3), d = 2.795 Å, I 77.1
(0 2 5), d = 2.535 Å, I 58.0
(3 3 -5), d = 1.965 Å, I 31.0
(2 0 6), d = 1.946 Å, I 35.3
(0 4 5), d = 1.933 Å, I 28.5
(1 5 2), d = 1.917 Å, I 32.4

Structure:
Lattice parameters (Å, degrees): 9.2318 10.3479 14.9788 90.00 103.89 90.00
Space group C2/c (No. 15)
Asymmetric unit:
Na: 0.0000 0.0000 0.0000 x4
Na: 0.1200 0.3564 0.0812 x8
Na: 0.2396 0.2227 0.3598 x8
Ag: 0.0000 0.0854 0.7500 x4
Ge: 0.1588 0.4219 0.8590 x8
S: 0.0000 0.4577 0.2500 x4
S: 0.0604 0.2382 0.8920 x8
S: 0.1315 0.1136 0.1843 x8
S: 0.1953 0.4344 0.4725 x8